Entry 1:
The following is a simulated X-ray powder pattern of CsRb2Cd. It was derived from a DFT-relaxed cell (GGA-PBE, Alexandria), using Cu Ka.
Intensities are scaled so that the largest is 100.

The 10 most intense peaks (10 to 90 degrees two-theta), sorted by position:
| hkl | two_theta | Rel. int. |
| --- | --- | --- |
| 2 1 -2 | 19.85 | 45 |
| 1 2 0 | 21.01 | 66 |
| 3 0 0 | 24.05 | 59 |
| 1 1 2 | 24.19 | 58 |
| 3 1 -2 | 24.33 | 53 |
| 2 2 0 | 25.23 | 43 |
| 1 1 -3 | 25.39 | 100 |
| 0 2 2 | 26.11 | 43 |
| 2 2 1 | 29.07 | 44 |
| 1 3 -1 | 30.60 | 49 |

Crystal structure
```
data_CsRb2Cd
_chemical_formula_sum 'Cs4 Rb8 Cd4'
_space_group_name_H-M_alt 'P 1 21/c 1'
_space_group_IT_number 14
_cell_length_a 12.486
_cell_length_b 9.145
_cell_length_c 11.564
_cell_angle_alpha 90.00
_cell_angle_beta 117.20
_cell_angle_gamma 90.00
loop_
_space_group_symop_operation_xyz
'x,y,z'
'-x,-y,-z'
'-x,y+1/2,-z+1/2'
'x,-y+1/2,z+1/2'
loop_
_atom_site_label
_atom_site_fract_x
_atom_site_fract_y
_atom_site_fract_z
_atom_site_occupancy
Cs1 0.003 0.000 0.192 1
Rb1 0.300 0.191 0.649 1
Rb2 0.357 0.746 0.432 1
Cd1 0.078 0.635 0.039 1
```

Entry 2:
The following is a simulated X-ray powder pattern of Ho2Pd4Rh. It was derived from a DFT-relaxed cell (GGA-PBE, Alexandria), using Cu Ka.
Intensities are scaled so that the largest is 100.

The 10 most intense peaks (10 to 90 degrees two-theta), sorted by position:
| hkl | two_theta | Rel. int. |
| --- | --- | --- |
| 3 1 1 | 33.02 | 100 |
| 0 0 4 | 37.36 | 75 |
| 0 2 2 | 37.84 | 65 |
| 2 2 1 | 38.76 | 64 |
| 4 0 2 | 40.98 | 49 |
| 3 1 3 | 42.62 | 64 |
| 2 2 3 | 47.38 | 34 |
| 3 1 5 | 57.95 | 15 |
| 3 3 1 | 58.64 | 23 |
| 0 4 2 | 71.78 | 18 |

Crystal structure
```
data_Ho2Pd4Rh
_chemical_formula_sum 'Ho8 Pd16 Rh4'
_space_group_name_H-M_alt 'C m c e'
_space_group_IT_number 64
_space_group_name_Hall '-C 2ac 2'
_cell_length_a 9.907
_cell_length_b 5.468
_cell_length_c 9.628
_cell_angle_alpha 90.00
_cell_angle_beta 90.00
_cell_angle_gamma 90.00
loop_
_atom_site_label
_atom_site_fract_x
_atom_site_fract_y
_atom_site_fract_z
_atom_site_occupancy
Ho1 0.157 0.000 0.000 1
Pd1 0.000 0.146 0.233 1
Pd2 0.250 0.154 0.750 1
Rh1 0.000 0.000 0.500 1
```

Entry 3:
The following is a simulated X-ray powder pattern of NaLi4Cu3F12. It was derived from a DFT-relaxed cell (GGA-PBE, Alexandria), using Cu Ka.
Intensities are scaled so that the largest is 100.

The 10 most intense peaks (10 to 90 degrees two-theta), sorted by position:
| hkl | two_theta | Rel. int. |
| --- | --- | --- |
| 1 1 0 | 16.69 | 37 |
| 2 0 0 | 23.68 | 100 |
| 2 1 1 | 29.11 | 29 |
| 2 2 0 | 33.74 | 73 |
| 3 1 0 | 37.87 | 37 |
| 2 2 2 | 41.64 | 66 |
| 4 0 0 | 48.46 | 30 |
| 4 0 2 | 54.63 | 26 |
| 4 2 2 | 60.36 | 65 |
| 6 0 0 | 76.00 | 32 |

Crystal structure
```
data_NaLi4Cu3F12
_chemical_formula_sum 'Na2 Li8 Cu6 F24'
_space_group_name_H-M_alt 'I m -3'
_space_group_IT_number 204
_space_group_name_Hall '-I 2 2 3'
_cell_length_a 7.513
_cell_length_b 7.513
_cell_length_c 7.513
_cell_angle_alpha 90.00
_cell_angle_beta 90.00
_cell_angle_gamma 90.00
loop_
_atom_site_label
_atom_site_fract_x
_atom_site_fract_y
_atom_site_fract_z
_atom_site_occupancy
Na1 0.000 0.000 0.000 1
Li1 0.250 0.250 0.250 1
Cu1 0.000 0.000 0.500 1
F1 0.000 0.318 0.170 1
```